[1]
Diffraction record for Te2Pd13. The PXRD pattern is theoretical, not measured: it uses a GGA-PBE-relaxed structure and a wavelength of 1.5418 Å.
No peak broadening, texture or thermal motion is included.

Structural model:
Cell lengths 9.134, 2.872, 30.654 Å; angles 90.00, 90.60, 90.00 degrees
Space group C2/m (No. 12)
Symmetry-distinct sites (fractional):
Te 0.094 0.000 0.267
Pd 0.000 0.000 0.000
Pd 0.049 0.500 0.924
Pd 0.095 0.000 0.848
Pd 0.134 0.500 0.191
Pd 0.136 0.500 0.768
Pd 0.178 0.000 0.114
Pd 0.225 0.500 0.038

Most intense lines, 10 to 90 degrees two-theta, by intensity:
2θ/deg  Rel. int.  (hkl)
38.83  100  1 1 7
40.55  67  4 0 3
45.78  60  3 1 -5
40.27  45  2 0 -12
39.98  39  4 0 2
44.89  36  3 1 -4
46.17  28  2 0 14
37.64  21  2 0 -11

[2]
Diffraction record for TePd16. The PXRD pattern is theoretical, not measured: it uses a GGA-PBE-relaxed structure and a wavelength of 1.5418 Å.
No peak broadening, texture or thermal motion is included.

Structural model:
Cell lengths 4.760, 7.247, 27.865 Å; angles 89.91, 89.67, 89.99 degrees
Space group P-1 (No. 2)
Symmetry-distinct sites (fractional):
Te 0.241 0.111 0.256
Pd 0.069 0.179 0.769
Pd 0.080 0.749 0.055
Pd 0.085 0.037 0.865
Pd 0.085 0.608 0.150
Pd 0.085 0.894 0.961
Pd 0.098 0.466 0.244
Pd 0.249 0.537 0.976
Pd 0.251 0.251 0.165
Pd 0.251 0.393 0.071
Pd 0.251 0.678 0.882
Pd 0.258 0.818 0.784
Pd 0.405 0.459 0.800
Pd 0.416 0.034 0.087
Pd 0.418 0.179 0.992
Pd 0.418 0.322 0.897
Pd 0.424 0.889 0.183

Most intense lines, 10 to 90 degrees two-theta, by intensity:
2θ/deg  Rel. int.  (hkl)
40.40  100  1 0 -11
38.52  58  1 -2 7
37.49  57  1 0 -10
39.98  55  2 1 1
39.46  53  0 3 4
40.58  50  1 -2 8
40.68  49  0 3 5
45.09  45  1 1 12

[3]
Diffraction record for TePd16. The PXRD pattern is theoretical, not measured: it uses a GGA-PBE-relaxed structure and a wavelength of 1.5418 Å.
No peak broadening, texture or thermal motion is included.

Structural model:
Cell lengths 4.795, 6.146, 29.134 Å; angles 89.51, 89.98, 75.44 degrees
Space group P-1 (No. 2)
Symmetry-distinct sites (fractional):
Te 0.064 0.035 0.296
Pd 0.065 0.538 0.918
Pd 0.072 0.533 0.173
Pd 0.075 0.033 0.046
Pd 0.075 0.033 0.792
Pd 0.207 0.612 0.266
Pd 0.208 0.110 0.882
Pd 0.215 0.607 0.009
Pd 0.221 0.105 0.136
Pd 0.222 0.602 0.750
Pd 0.354 0.188 0.229
Pd 0.354 0.680 0.845
Pd 0.355 0.180 0.973
Pd 0.364 0.675 0.100
Pd 0.369 0.166 0.716
Pd 0.494 0.753 0.936
Pd 0.497 0.253 0.808

Most intense lines, 10 to 90 degrees two-theta, by intensity:
2θ/deg  Rel. int.  (hkl)
39.94  100  1 -2 0
40.03  70  1 2 8
46.42  61  2 0 8
40.25  45  0 1 -12
46.87  31  1 3 -4
37.29  27  0 1 -11
38.13  23  1 2 7
68.24  19  1 -3 12

[4]
Diffraction record for TePd8. The PXRD pattern is theoretical, not measured: it uses a GGA-PBE-relaxed structure and a wavelength of 1.5418 Å.
No peak broadening, texture or thermal motion is included.

Structural model:
Cell lengths 7.6171, 7.6171, 2.9094 Å; angles 90.00, 90.00, 120.00 degrees
Space group P-62m (No. 189)
Symmetry-distinct sites (fractional):
Te 0.0000 0.0000 0.0000
Pd 0.0000 0.3017 0.5000
Pd 0.0000 0.6359 0.0000
Pd 0.3333 0.6667 0.5000

Most intense lines, 10 to 90 degrees two-theta, by intensity:
2θ/deg  Rel. int.  (hkl)
41.05  100  3 0 0
38.96  83  1 1 1
41.38  33  2 0 1
78.90  28  3 0 2
48.06  22  2 1 1
70.09  20  3 2 1
57.87  20  2 2 1
73.38  16  4 1 1

[5]
Diffraction record for TePd15. The PXRD pattern is theoretical, not measured: it uses a GGA-PBE-relaxed structure and a wavelength of 1.5418 Å.
No peak broadening, texture or thermal motion is included.

Structural model:
Cell lengths 5.538, 3.925, 34.784 Å; angles 90.00, 90.01, 90.00 degrees
Space group P2_1/m (No. 11)
Symmetry-distinct sites (fractional):
Te 0.125 0.250 0.201
Pd 0.125 0.250 0.279
Pd 0.125 0.250 0.359
Pd 0.125 0.250 0.440
Pd 0.125 0.250 0.520
Pd 0.125 0.250 0.600
Pd 0.126 0.250 0.681
Pd 0.128 0.250 0.764
Pd 0.375 0.750 0.400
Pd 0.375 0.750 0.480
Pd 0.375 0.750 0.560
Pd 0.375 0.750 0.641
Pd 0.375 0.750 0.722
Pd 0.375 0.750 0.804
Pd 0.376 0.750 0.319
Pd 0.378 0.750 0.236

Most intense lines, 10 to 90 degrees two-theta, by intensity:
2θ/deg  Rel. int.  (hkl)
39.84  100  2 1 0
38.61  87  0 1 12
40.82  55  0 1 13
45.29  54  2 0 12
46.28  45  0 2 0
39.93  38  2 1 1
47.24  36  2 0 13
66.74  33  2 2 12